The following is a calculated powder XRD pattern of AgPtBr4. It was derived from a crystal structure in Alexandria, relaxed with GGA-PBE, using Cu Ka.
Peak positions follow from Bragg's law for the DFT cell and can differ from measured ones.

Cell and atoms:
```
data_AgPtBr4
_chemical_formula_sum 'Ag2 Pt2 Br8'
_symmetry_space_group_name_H-M 'P m m m'
_symmetry_Int_Tables_number 47
_symmetry_space_group_name_Hall '-P 2 2'
_cell_length_a 7.476
_cell_length_b 7.489
_cell_length_c 8.247
_cell_angle_alpha 90.00
_cell_angle_beta 90.00
_cell_angle_gamma 90.00
loop_
_atom_site_label
_atom_site_type_symbol
_atom_site_fract_x
_atom_site_fract_y
_atom_site_fract_z
_atom_site_occupancy
Ag1 Ag 0.000 0.000 0.000 1
Ag2 Ag 0.500 0.000 0.500 1
Pt1 Pt 0.000 0.000 0.500 1
Pt2 Pt 0.000 0.500 0.000 1
Br1 Br 0.231 0.230 0.500 1
Br2 Br 0.231 0.270 0.000 1
```

Peak list (10 most intense, 2θ from 15° to 90°, by angle)
15.99°, I 65.2
21.55°, I 100.0
24.65°, I 23.4
28.80°, I 17.1
33.89°, I 59.0
40.51°, I 71.6
45.03°, I 15.3
48.68°, I 19.6
53.81°, I 28.9
56.60°, I 26.5

---

The following is a calculated powder XRD pattern of CaIn4Ge4O14. It was derived from a crystal structure in Alexandria, relaxed with GGA-PBE, using Cu Ka.
Peak positions follow from Bragg's law for the DFT cell and can differ from measured ones.

Cell and atoms:
```
data_CaIn4Ge4O14
_chemical_formula_sum 'Ca4 In16 Ge16 O56'
_symmetry_space_group_name_H-M 'F -4 3 m'
_symmetry_Int_Tables_number 216
_symmetry_space_group_name_Hall 'F -4 2 3'
_cell_length_a 10.425
_cell_length_b 10.425
_cell_length_c 10.425
_cell_angle_alpha 90.00
_cell_angle_beta 90.00
_cell_angle_gamma 90.00
loop_
_atom_site_label
_atom_site_type_symbol
_atom_site_fract_x
_atom_site_fract_y
_atom_site_fract_z
_atom_site_occupancy
Ca1 Ca 0.000 0.000 0.000 1
In1 In 0.123 0.123 0.623 1
Ge1 Ge 0.141 0.141 0.141 1
O1 O 0.000 0.000 0.213 1
O2 O 0.000 0.000 0.500 1
O3 O 0.054 0.250 0.250 1
O4 O 0.250 0.250 0.750 1
```

Peak list (10 most intense, 2θ from 15° to 90°, by angle)
29.69°, I 100.0
34.41°, I 23.0
37.61°, I 9.7
45.20°, I 8.1
49.46°, I 50.6
58.75°, I 36.5
61.64°, I 6.8
72.54°, I 6.3
80.29°, I 12.9
82.82°, I 8.4